No. 1
For Ca2Al3O8, DFT lattice parameters and positions (PBE) gives the computed X-ray diffraction stick pattern in this record (Cu Kα, 1.54184 Å).

The 6 most intense peaks (2θ = 15–90°), most intense first:
2theta  intensity
24.08  1000
42.36  540
31.25  359
34.32  264
59.55  215
49.32  176

Cell and atoms:
Cell lengths 7.8391, 7.8391, 7.8391 Å; angles 109.47, 109.47, 109.47 degrees
Positions (direct):
1 Ca 0.0000 0.0000 0.6564
2 Ca 0.0000 0.6564 0.0000
3 Ca 0.3436 0.3436 0.3436
4 Ca 0.6564 0.0000 0.0000
5 Al 0.2500 0.5000 0.7500
6 Al 0.2500 0.7500 0.5000
7 Al 0.5000 0.2500 0.7500
8 Al 0.5000 0.7500 0.2500
9 Al 0.7500 0.2500 0.5000
10 Al 0.7500 0.5000 0.2500
11 O 0.0000 0.0000 0.1676
12 O 0.0000 0.1676 0.0000
13 O 0.0000 0.4347 0.7229
14 O 0.0000 0.7229 0.4347
15 O 0.1676 0.0000 0.0000
16 O 0.2771 0.2771 0.7119
17 O 0.2771 0.7119 0.2771
18 O 0.2881 0.5653 0.5653
19 O 0.4347 0.0000 0.7229
20 O 0.4347 0.7229 0.0000
21 O 0.5653 0.2881 0.5653
22 O 0.5653 0.5653 0.2881
23 O 0.7119 0.2771 0.2771
24 O 0.7229 0.0000 0.4347
25 O 0.7229 0.4347 0.0000
26 O 0.8324 0.8324 0.8324

---

No. 2
For Li2MgCd, DFT lattice parameters and positions (PBE) gives the computed X-ray diffraction stick pattern in this record (Cu Kα, 1.54184 Å).

The 6 most intense peaks (2θ = 15–90°), most intense first:
2theta  intensity
22.63  1000
37.37  743
44.14  502
26.19  332
67.41  245
59.18  201

Cell and atoms:
Cell lengths 6.8055, 6.8055, 6.8055 Å; angles 90.00, 90.00, 90.00 degrees
Positions (direct):
1 Li 0.0000 0.0000 0.0000
2 Li 0.0000 0.5000 0.5000
3 Li 0.2500 0.2500 0.2500
4 Li 0.2500 0.7500 0.7500
5 Li 0.5000 0.0000 0.5000
6 Li 0.5000 0.5000 0.0000
7 Li 0.7500 0.2500 0.7500
8 Li 0.7500 0.7500 0.2500
9 Mg 0.0000 0.0000 0.5000
10 Mg 0.0000 0.5000 0.0000
11 Mg 0.5000 0.0000 0.0000
12 Mg 0.5000 0.5000 0.5000
13 Cd 0.2500 0.2500 0.7500
14 Cd 0.2500 0.7500 0.2500
15 Cd 0.7500 0.2500 0.2500
16 Cd 0.7500 0.7500 0.7500

---

No. 3
For Cu5H8Cl2O10, DFT lattice parameters and positions (PBE) gives the computed X-ray diffraction stick pattern in this record (Cu Kα, 1.54184 Å).

The 6 most intense peaks (2θ = 15–90°), most intense first:
2theta  intensity
16.67  1000
16.53  910
32.60  673
18.17  642
32.73  575
35.19  458

Cell and atoms:
Cell lengths 5.9306, 5.9588, 8.9389 Å; angles 95.53, 108.01, 112.02 degrees
Positions (direct):
1 Cu 0.0000 0.0000 0.0000
2 Cu 0.0000 0.5000 0.0000
3 Cu 0.3644 0.4710 0.3340
4 Cu 0.5000 0.5000 0.0000
5 Cu 0.6356 0.5290 0.6660
6 H 0.0140 0.7962 0.3014
7 H 0.1275 0.7901 0.7950
8 H 0.2105 0.0163 0.4540
9 H 0.4981 0.8296 0.1994
10 H 0.5019 0.1704 0.8006
11 H 0.7895 0.9837 0.5460
12 H 0.8725 0.2099 0.2050
13 H 0.9860 0.2038 0.6986
14 Cl 0.4736 0.8373 0.8001
15 Cl 0.5264 0.1627 0.1999
16 O 0.0253 0.2591 0.1684
17 O 0.1316 0.2869 0.9139
18 O 0.1334 0.8315 0.4151
19 O 0.3189 0.3406 0.5039
20 O 0.4149 0.6414 0.1663
21 O 0.5851 0.3586 0.8337
22 O 0.6811 0.6594 0.4961
23 O 0.8666 0.1685 0.5849
24 O 0.8684 0.7131 0.0861
25 O 0.9747 0.7409 0.8316

---

No. 4
For KIn7S8, DFT lattice parameters and positions (PBE) gives the computed X-ray diffraction stick pattern in this record (Cu Kα, 1.54184 Å).

The 6 most intense peaks (2θ = 15–90°), most intense first:
2theta  intensity
23.05  1000
24.77  646
35.20  584
34.51  537
45.47  448
25.14  417

Cell and atoms:
Cell lengths 17.9013, 3.9895, 19.3287 Å; angles 90.00, 112.16, 90.00 degrees
Positions (direct):
1 K 0.0000 0.0000 0.0000
2 K 0.0953 0.5000 0.4325
3 K 0.5000 0.0000 0.9999
4 In 0.0081 0.5000 0.5996
5 In 0.0872 0.0000 0.8332
6 In 0.1415 0.0000 0.2114
7 In 0.1975 0.0000 0.6723
8 In 0.2564 0.0000 0.9017
9 In 0.2964 0.0000 0.3304
10 In 0.2989 0.5000 0.1022
11 In 0.3393 0.5000 0.5308
12 In 0.3979 0.5000 0.7603
13 In 0.4534 0.5000 0.2215
14 In 0.5077 0.5000 0.5996
15 In 0.5873 0.0000 0.8332
16 In 0.5942 0.5000 0.4325
17 In 0.6423 0.0000 0.2111
18 In 0.6980 0.0000 0.6724
19 In 0.7563 0.0000 0.9020
20 In 0.7965 0.0000 0.3304
21 In 0.7991 0.5000 0.1024
22 In 0.8384 0.5000 0.5303
23 In 0.8978 0.5000 0.7602
24 In 0.9538 0.5000 0.2214
25 S 0.0289 0.5000 0.8830
26 S 0.0372 0.0000 0.2907
27 S 0.0583 0.5000 0.1418
28 S 0.0663 0.0000 0.5495
29 S 0.1324 0.5000 0.7211
30 S 0.2092 0.0000 0.0843
31 S 0.2615 0.0000 0.4512
32 S 0.2717 0.5000 0.6297
33 S 0.3238 0.0000 0.8031
34 S 0.3336 0.5000 0.9812
35 S 0.3870 0.5000 0.3485
36 S 0.4635 0.0000 0.7121
37 S 0.5289 0.5000 0.8830
38 S 0.5376 0.0000 0.2923
39 S 0.5583 0.5000 0.1423
40 S 0.5667 0.0000 0.5482
41 S 0.6320 0.5000 0.7203
42 S 0.7090 0.0000 0.0841
43 S 0.7622 0.0000 0.4516
44 S 0.7718 0.5000 0.6299
45 S 0.8238 0.0000 0.8032
46 S 0.8336 0.5000 0.9811
47 S 0.8863 0.5000 0.3483
48 S 0.9634 0.0000 0.7117

---

No. 5
For Ce5GeBi2, DFT lattice parameters and positions (PBE) gives the computed X-ray diffraction stick pattern in this record (Cu Kα, 1.54184 Å).

The 6 most intense peaks (2θ = 15–90°), most intense first:
2theta  intensity
30.92  1000
29.81  985
32.49  728
31.46  528
37.43  410
34.09  276

Cell and atoms:
Cell lengths 12.1498, 9.6109, 8.0807 Å; angles 90.00, 90.00, 90.00 degrees
Positions (direct):
1 Ce 0.0039 0.2500 0.0164
2 Ce 0.0544 0.0539 0.6873
3 Ce 0.0544 0.4461 0.6873
4 Ce 0.2133 0.7500 0.3484
5 Ce 0.2182 0.2500 0.3340
6 Ce 0.2818 0.7500 0.8340
7 Ce 0.2867 0.2500 0.8484
8 Ce 0.4456 0.5539 0.1873
9 Ce 0.4456 0.9461 0.1873
10 Ce 0.4961 0.7500 0.5164
11 Ce 0.5039 0.2500 0.4836
12 Ce 0.5544 0.0539 0.8127
13 Ce 0.5544 0.4461 0.8127
14 Ce 0.7133 0.7500 0.1516
15 Ce 0.7182 0.2500 0.1660
16 Ce 0.7818 0.7500 0.6660
17 Ce 0.7867 0.2500 0.6516
18 Ce 0.9456 0.5539 0.3127
19 Ce 0.9456 0.9461 0.3127
20 Ce 0.9961 0.7500 0.9836
21 Ge 0.0319 0.7500 0.6003
22 Ge 0.4681 0.2500 0.1003
23 Ge 0.5319 0.7500 0.8997
24 Ge 0.9681 0.2500 0.3997
25 Bi 0.1776 0.5059 0.0691
26 Bi 0.1776 0.9941 0.0691
27 Bi 0.3224 0.0059 0.5691
28 Bi 0.3224 0.4941 0.5691
29 Bi 0.6776 0.5059 0.4309
30 Bi 0.6776 0.9941 0.4309
31 Bi 0.8224 0.0059 0.9309
32 Bi 0.8224 0.4941 0.9309

---

No. 6
For Bi2Se3O10, DFT lattice parameters and positions (PBE) gives the computed X-ray diffraction stick pattern in this record (Cu Kα, 1.54184 Å).

The 6 most intense peaks (2θ = 15–90°), most intense first:
2theta  intensity
26.64  1000
27.64  527
26.30  518
29.08  417
20.68  381
19.04  272

Cell and atoms:
Cell lengths 8.9573, 8.9573, 8.1685 Å; angles 110.63, 110.63, 50.89 degrees
Positions (direct):
1 Bi 0.0227 0.3347 0.1500
2 Bi 0.3347 0.0227 0.6500
3 Bi 0.6653 0.9773 0.3500
4 Bi 0.9773 0.6653 0.8500
5 Se 0.1113 0.8887 0.2500
6 Se 0.2997 0.4473 0.5275
7 Se 0.4473 0.2997 0.0275
8 Se 0.5527 0.7003 0.9725
9 Se 0.7003 0.5527 0.4725
10 Se 0.8887 0.1113 0.7500
11 O 0.0770 0.5402 0.3854
12 O 0.0847 0.1024 0.3065
13 O 0.1024 0.0847 0.8065
14 O 0.1951 0.3916 0.9774
15 O 0.2111 0.7481 0.0665
16 O 0.2478 0.4991 0.7336
17 O 0.2519 0.7889 0.4335
18 O 0.3916 0.1951 0.4774
19 O 0.4598 0.9230 0.1146
20 O 0.4991 0.2478 0.2336
21 O 0.5009 0.7522 0.7664
22 O 0.5402 0.0770 0.8854
23 O 0.6084 0.8049 0.5226
24 O 0.7481 0.2111 0.5665
25 O 0.7522 0.5009 0.2664
26 O 0.7889 0.2519 0.9335
27 O 0.8049 0.6084 0.0226
28 O 0.8976 0.9153 0.1935
29 O 0.9153 0.8976 0.6935
30 O 0.9230 0.4598 0.6146

---

No. 7
For Ti2H3, DFT lattice parameters and positions (PBE) gives the computed X-ray diffraction stick pattern in this record (Cu Kα, 1.54184 Å).

The 6 most intense peaks (2θ = 15–90°), most intense first:
2theta  intensity
35.56  1000
41.46  286
71.80  200
59.71  199
40.98  152
71.13  108

Cell and atoms:
Cell lengths 4.3562, 4.3562, 4.4052 Å; angles 90.00, 90.00, 90.00 degrees
Positions (direct):
1 Ti 0.2379 0.2379 0.0000
2 Ti 0.2379 0.7621 0.5000
3 Ti 0.7621 0.2379 0.5000
4 Ti 0.7621 0.7621 0.0000
5 H 0.0000 0.5000 0.2500
6 H 0.0000 0.5000 0.7500
7 H 0.5000 0.0000 0.2500
8 H 0.5000 0.0000 0.7500
9 H 0.5000 0.5000 0.2500
10 H 0.5000 0.5000 0.7500

---

No. 8
For Sb6Pb4S13, DFT lattice parameters and positions (PBE) gives the computed X-ray diffraction stick pattern in this record (Cu Kα, 1.54184 Å).

The 6 most intense peaks (2θ = 15–90°), most intense first:
2theta  intensity
31.98  1000
32.08  738
22.80  702
45.85  665
23.98  622
29.16  572

Cell and atoms:
Cell lengths 3.9584, 17.0227, 17.9910 Å; angles 91.11, 96.28, 96.58 degrees
Positions (direct):
1 Sb 0.0000 0.0000 0.0000
2 Sb 0.0000 0.2675 0.6833
3 Sb 0.0514 0.9133 0.1950
4 Sb 0.1727 0.1539 0.1982
5 Sb 0.2282 0.0691 0.3896
6 Sb 0.4319 0.0439 0.8011
7 Sb 0.4590 0.5369 0.3709
8 Sb 0.5346 0.4587 0.6038
9 Sb 0.6261 0.3962 0.8448
10 Sb 0.6267 0.6777 0.5487
11 Sb 0.7136 0.6073 0.7892
12 Sb 0.7877 0.5280 0.0234
13 Pb 0.2682 0.8043 0.7107
14 Pb 0.3538 0.7389 0.9493
15 Pb 0.4498 0.7013 0.1799
16 Pb 0.6170 0.2136 0.0013
17 Pb 0.6338 0.8541 0.3930
18 Pb 0.7983 0.3668 0.2109
19 Pb 0.8161 0.0243 0.5927
20 Pb 0.8919 0.3196 0.4408
21 S 0.9998 0.4789 0.5047
22 S 0.0299 0.1178 0.9216
23 S 0.0422 0.7941 0.2718
24 S 0.0757 0.4158 0.7127
25 S 0.0919 0.7013 0.4590
26 S 0.1504 0.3574 0.9291
27 S 0.1724 0.6401 0.6855
28 S 0.2066 0.2741 0.1219
29 S 0.2194 0.9527 0.4686
30 S 0.2474 0.5807 0.8957
31 S 0.3173 0.5019 0.1130
32 S 0.3748 0.3911 0.3406
33 S 0.3956 0.1151 0.6636
34 S 0.4384 0.9393 0.9186
35 S 0.4520 0.3137 0.5728
36 S 0.4903 0.8477 0.1117
37 S 0.5354 0.2594 0.7859
38 S 0.6075 0.0889 0.0973
39 S 0.6516 0.9796 0.2958
40 S 0.7166 0.8146 0.5968
41 S 0.7600 0.2206 0.2809
42 S 0.7983 0.7480 0.8294
43 S 0.8101 0.1329 0.4709
44 S 0.8675 0.9570 0.7557
45 S 0.8738 0.6721 0.0567
46 S 0.9270 0.5592 0.2821

---

Number 6 is which compound?
Bi2Se3O10